Entry 1:
The following is a computed XRD peak list of PmSmI5. It was derived from a cell relaxed with GGA-PBE, using Cu Ka.

Cell and atoms:
```
14
Lattice="9.4108 0.0000 0.0000 0.0000 4.2769 0.0000 -1.4414 0.0000 14.8867" Properties=species:S:1:pos:R:3 pbc="T T T"
Pm 0.7793 1.0692 2.2288
Pm 7.1901 3.2077 12.6579
Sm 3.3894 3.2077 5.0959
Sm 4.5800 1.0692 9.7908
I 0.2127 3.2077 4.5507
I -0.1023 1.0692 13.8310
I 2.3306 1.0692 7.1878
I 3.1046 3.2077 1.8864
I 2.4499 3.2077 10.5831
I 5.5196 1.0692 4.3036
I 4.8648 1.0692 13.0004
I 5.6388 3.2077 7.6989
I 8.0718 3.2077 1.0558
I 7.7567 1.0692 10.3360
```

Peak list (10 most intense, 2θ from 15° to 90°, by angle)
| 2θ/deg | I (rel.) |
| --- | --- |
| 26.3 | 63 |
| 27.4 | 48 |
| 28.3 | 59 |
| 28.5 | 100 |
| 29.8 | 34 |
| 30.0 | 73 |
| 31.9 | 32 |
| 37.3 | 31 |
| 38.6 | 33 |
| 42.3 | 42 |

Entry 2:
The following is a computed XRD peak list of Ta4Mo2W3. It was derived from a cell relaxed with GGA-PBE, using Cu Ka.

Cell and atoms:
```
18
Lattice="5.3389 -4.4970 0.0000 5.3389 4.4970 0.0000 -3.8047 0.0000 6.7686" Properties=species:S:1:pos:R:3 pbc="T T T"
Ta 1.1051 3.4185 5.8159
Ta 3.8656 3.4185 4.3369
Ta 3.0184 1.1752 2.3627
Ta 5.7571 1.1752 1.0216
Ta 1.1161 -1.1752 5.7470
Ta 3.8547 -1.1752 4.4059
Ta 3.0075 -3.4185 2.4317
Ta 5.7680 -3.4185 0.9526
Mo -0.4846 1.1177 6.3725
Mo 1.4178 -1.1177 2.9882
Mo 5.4554 1.1177 3.7803
Mo 7.3578 -1.1177 0.3960
W 0.1180 1.1248 3.7551
W 2.0203 -1.1248 0.3708
W 2.4854 1.1453 5.0764
W 4.3878 -1.1453 1.6921
W 4.8528 1.1248 6.3978
W 6.7552 -1.1248 3.0135
```

Peak list (10 most intense, 2θ from 15° to 90°, by angle)
| 2θ/deg | I (rel.) |
| --- | --- |
| 15.4 | 15 |
| 39.7 | 67 |
| 39.9 | 33 |
| 40.2 | 100 |
| 57.7 | 11 |
| 57.8 | 22 |
| 71.9 | 11 |
| 72.6 | 23 |
| 73.0 | 23 |
| 86.8 | 7 |

Entry 3:
The following is a computed XRD peak list of Te7RuI6. It was derived from a cell relaxed with GGA-PBE, using Cu Ka.

Cell and atoms:
```
28
Lattice="10.5997 0.0000 0.0000 -4.1728 10.0387 0.0000 -2.6229 -3.5908 10.9432" Properties=species:S:1:pos:R:3 pbc="T T T"
Te -1.1602 3.1265 0.0991
Te 0.0842 -1.0299 3.1981
Te -4.0706 4.9685 7.8810
Te -1.4904 -0.5427 9.3514
Te 1.6972 0.6332 0.1542
Te -1.6250 8.3707 1.9149
Te 0.5874 2.6671 3.3932
Te 3.2167 3.7807 7.5500
Te 5.4290 -1.9229 9.0283
Te 2.1069 5.8146 10.7890
Te 5.2944 6.9905 1.5918
Te 7.8747 1.4794 3.0622
Te 3.7199 7.4777 7.7452
Te 4.9643 3.3213 10.8441
Ru -0.5546 1.0743 1.6808
Ru 4.3587 5.3736 9.2624
I -1.9176 4.5735 3.3962
I -1.0676 1.3353 5.7498
I 1.0620 -2.3212 7.5535
I -2.2293 4.2470 10.0929
I 1.9929 4.4925 1.5365
I 2.9572 1.0107 4.0862
I 0.8468 5.4371 6.8570
I 1.8112 1.9553 9.4067
I 6.0333 2.2008 0.8503
I 2.7420 8.7690 3.3897
I 4.8717 5.1125 5.1934
I 5.7217 1.8743 7.5470
```

Peak list (10 most intense, 2θ from 15° to 90°, by angle)
| 2θ/deg | I (rel.) |
| --- | --- |
| 20.6 | 43 |
| 26.6 | 40 |
| 26.9 | 40 |
| 27.1 | 36 |
| 28.6 | 38 |
| 28.8 | 46 |
| 29.0 | 47 |
| 29.2 | 48 |
| 31.1 | 100 |
| 32.5 | 44 |